Starting from DFT lattice parameters and positions (GGA-PBE), the X-ray powder pattern of Pm12PrNi6 was computed for a wavelength of 1.5418 Å.
Lines closer than 0.1° are merged.

```
Pm12PrNi6
1.0
-5.0522 5.0522 5.0522
5.0522 -5.0522 5.0522
5.0522 5.0522 -5.0522
Pm Pr Ni
12 1 6
Cartesian
5.0522 -1.8978 3.1828
3.1544 1.8694 0.0000
6.9499 1.8694 0.0000
3.1828 5.0522 -1.8978
1.8694 0.0000 3.1544
0.0000 3.1544 1.8694
5.0522 1.8978 3.1828
3.1828 5.0522 1.8978
1.8694 0.0000 6.9499
-1.8978 3.1828 5.0522
1.8978 3.1828 5.0522
0.0000 6.9499 1.8694
0.0000 0.0000 0.0000
5.0522 0.0000 1.2295
5.0522 3.8227 0.0000
1.2295 5.0522 0.0000
3.8227 0.0000 5.0522
0.0000 1.2295 5.0522
0.0000 5.0522 3.8227
```

Top 10 peaks for 2θ from 10° to 90°, by intensity:
d_spacing, 2theta, intensity
2.701, 33.2, 1000
3.195, 27.9, 481
2.917, 30.7, 325
1.639, 56.1, 324
1.733, 52.8, 321
1.982, 45.8, 253
1.191, 80.7, 173
1.175, 82.0, 160
1.684, 54.5, 158
1.429, 65.3, 158

---

Starting from DFT lattice parameters and positions (GGA-PBE), the X-ray powder pattern of PmPr4Ni2 was computed for a wavelength of 1.5418 Å.
Lines closer than 0.1° are merged.

```
PmPr4Ni2
1.0
2.0228 1.1679 15.1910
-2.0228 1.1679 15.1910
0.0000 -2.3357 15.1910
Pm Pr Ni
1 4 2
Cartesian
0.0000 0.0000 0.0000
0.0000 0.0000 9.1524
0.0000 0.0000 18.1049
0.0000 0.0000 27.4680
0.0000 0.0000 36.4204
0.0000 0.0000 4.4878
0.0000 0.0000 41.0851
```

Top 10 peaks for 2θ from 10° to 90°, by intensity:
d_spacing, 2theta, intensity
2.778, 32.2, 1000
3.270, 27.3, 738
2.023, 44.8, 404
1.910, 47.6, 322
1.684, 54.5, 214
1.635, 56.3, 202
3.038, 29.4, 198
1.272, 74.6, 172
1.215, 78.8, 135
1.145, 84.6, 120

---

Starting from DFT lattice parameters and positions (GGA-PBE), the X-ray powder pattern of Pm2PrSi2Ni2 was computed for a wavelength of 1.5418 Å.
Lines closer than 0.1° are merged.

```
Pm2PrSi2Ni2
1.0
2.0357 1.1753 11.4241
-2.0357 1.1753 11.4241
0.0000 -2.3507 11.4241
Pm Pr Si Ni
2 1 2 2
Cartesian
0.0000 0.0000 3.9631
0.0000 0.0000 30.3091
0.0000 0.0000 0.0000
0.0000 0.0000 9.3006
0.0000 0.0000 24.9715
0.0000 0.0000 13.5448
0.0000 0.0000 20.7274
```

Top 10 peaks for 2θ from 10° to 90°, by intensity:
d_spacing, 2theta, intensity
2.722, 32.9, 1000
2.036, 44.5, 666
2.458, 36.6, 522
3.507, 25.4, 483
2.861, 31.3, 451
1.391, 67.3, 285
3.261, 27.4, 280
1.630, 56.4, 220
1.273, 74.6, 207
3.808, 23.4, 193

---

Starting from DFT lattice parameters and positions (GGA-PBE), the X-ray powder pattern of Pm7Ni2Pt2 was computed for a wavelength of 1.5418 Å.
Lines closer than 0.1° are merged.

```
Pm7Ni2Pt2
1.0
3.8154 -5.5683 0.0000
3.8154 5.5683 0.0000
0.0000 0.0000 6.9312
Pm Ni Pt
7 2 2
Cartesian
0.0000 0.0000 0.0000
1.9077 2.7841 1.8368
1.9077 2.7841 5.0944
1.9077 -2.7841 1.8368
1.9077 -2.7841 5.0944
3.8154 0.0000 1.7691
3.8154 0.0000 5.1621
3.8154 2.3014 0.0000
3.8154 -2.3014 0.0000
1.3986 0.0000 3.4656
6.2322 0.0000 3.4656
```

Top 10 peaks for 2θ from 10° to 90°, by intensity:
d_spacing, 2theta, intensity
2.331, 38.6, 1000
2.784, 32.2, 623
3.036, 29.4, 456
2.404, 37.4, 366
3.147, 28.4, 349
2.942, 30.4, 328
3.342, 26.7, 323
1.471, 63.2, 190
2.008, 45.1, 171
1.504, 61.7, 169

---

Copy entry 3 word for word.
Starting from DFT lattice parameters and positions (GGA-PBE), the X-ray powder pattern of Pm2PrSi2Ni2 was computed for a wavelength of 1.5418 Å.
Lines closer than 0.1° are merged.

```
Pm2PrSi2Ni2
1.0
2.0357 1.1753 11.4241
-2.0357 1.1753 11.4241
0.0000 -2.3507 11.4241
Pm Pr Si Ni
2 1 2 2
Cartesian
0.0000 0.0000 3.9631
0.0000 0.0000 30.3091
0.0000 0.0000 0.0000
0.0000 0.0000 9.3006
0.0000 0.0000 24.9715
0.0000 0.0000 13.5448
0.0000 0.0000 20.7274
```

Top 10 peaks for 2θ from 10° to 90°, by intensity:
d_spacing, 2theta, intensity
2.722, 32.9, 1000
2.036, 44.5, 666
2.458, 36.6, 522
3.507, 25.4, 483
2.861, 31.3, 451
1.391, 67.3, 285
3.261, 27.4, 280
1.630, 56.4, 220
1.273, 74.6, 207
3.808, 23.4, 193